Theoretical powder diffractogram
Compound: Ba2NaCe2Ti2FeSi8HO27
Radiation: a wavelength of 1.5418 Å
Structure: a DFT-relaxed cell (GGA+U, the Materials Project)
Intensities are scaled so that the largest is 100.

Crystal structure
a = 10.570 Å, b = 9.800 Å, c = 11.877 Å
α = 90.00°, β = 110.28°, γ = 90.00°
Space group C2 (No. 5)
Unique sites:
Ba 0.244 0.000 0.005 [4 per cell]
Na 0.000 0.057 0.500 [2 per cell]
Ce 0.158 0.723 0.462 [4 per cell]
Ti 0.050 0.742 0.128 [4 per cell]
Fe 0.000 0.384 0.500 [2 per cell]
Si 0.097 0.436 0.276 [4 per cell]
Si 0.121 0.238 0.753 [4 per cell]
Si 0.126 0.041 0.294 [4 per cell]
Si 0.193 0.768 0.758 [4 per cell]
H 0.000 0.199 0.000 [2 per cell]
O 0.000 0.586 0.500 [2 per cell]
O 0.000 0.610 0.000 [2 per cell]
O 0.000 0.872 0.000 [2 per cell]
O 0.029 0.106 0.769 [4 per cell]
O 0.061 0.381 0.795 [4 per cell]
O 0.089 0.810 0.625 [4 per cell]
O 0.091 0.603 0.276 [4 per cell]
O 0.115 0.879 0.260 [4 per cell]
O 0.128 0.245 0.620 [4 per cell]
O 0.133 0.754 0.866 [4 per cell]
O 0.150 0.360 0.405 [4 per cell]
O 0.183 0.061 0.438 [4 per cell]
O 0.190 0.391 0.194 [4 per cell]
O 0.228 0.119 0.236 [4 per cell]
O 0.236 0.719 0.135 [4 per cell]

Most intense lines, 2θ = 15–90°, most intense first:
| d [Å] | Position (°2θ) | I_rel | h k l |
| --- | --- | --- | --- |
| 2.921 | 30.60 | 100.0 | 2 2 -3 |
| 4.486 | 19.79 | 99.0 | 0 2 1 |
| 3.117 | 28.64 | 93.3 | 2 2 1 |
| 2.960 | 30.20 | 79.3 | 0 2 3 |
| 3.311 | 26.93 | 67.9 | 3 1 -1 |
| 1.868 | 48.74 | 58.0 | 4 2 2 |
| 4.573 | 19.41 | 51.9 | 2 0 -2 |
| 2.262 | 39.85 | 46.8 | 1 3 3 |


Theoretical powder diffractogram
Compound: RbLi2Co2B3O9
Radiation: a wavelength of 1.5418 Å
Structure: a DFT-relaxed cell (GGA+U, the Materials Project)
Intensities are scaled so that the largest is 100.

Crystal structure
a = 6.394 Å, b = 5.044 Å, c = 12.936 Å
α = 90.00°, β = 91.33°, γ = 90.00°
Space group P2/c (No. 13)
Unique sites:
Rb 0.000 0.209 0.250 [2 per cell]
Li 0.497 0.174 0.367 [4 per cell]
Co 0.235 0.316 0.566 [4 per cell]
B 0.193 0.183 0.958 [4 per cell]
B 0.500 0.333 0.750 [2 per cell]
O 0.043 0.297 0.894 [4 per cell]
O 0.244 0.084 0.449 [4 per cell]
O 0.296 0.330 0.034 [4 per cell]
O 0.402 0.179 0.672 [4 per cell]
O 0.500 0.401 0.250 [2 per cell]

Most intense lines, 2θ = 15–90°, most intense first:
| d [Å] | Position (°2θ) | I_rel | h k l |
| --- | --- | --- | --- |
| 2.893 | 30.91 | 100.0 | 2 0 -2 |
| 3.277 | 27.21 | 82.6 | 0 1 3 |
| 3.801 | 23.40 | 69.7 | 1 1 -1 |
| 2.839 | 31.51 | 35.5 | 2 0 2 |
| 2.937 | 30.43 | 30.2 | 1 1 -3 |
| 4.494 | 19.76 | 28.5 | 1 0 2 |
| 2.522 | 35.60 | 28.2 | 0 2 0 |
| 1.580 | 58.41 | 27.7 | 3 1 -5 |